Record 1
KNa3Tl5: calculated powder X-ray diffraction pattern (copper Kα), based on a structure optimized by DFT (GGA-PBE).

Principal peaks in the range 15° ≤ 2θ ≤ 90°, sorted by position:
d/Å  I/Imax
3.964  80
2.809  99
2.797  100
2.286  19
2.077  15
1.982  36
1.770  18
1.617  57
1.468  28
1.252  16

Crystal structure
abc: 9.6901 9.6901 6.8957
angles: 90.00 90.00 120.00
Space group P6_3/mcm (No. 193)
Asymmetric unit:
K: 0.0000 0.0000 0.0000 x2
Na: 0.0000 0.3463 0.2500 x6
Tl: 0.0000 0.3391 0.7500 x6
Tl: 0.3333 0.6667 0.0000 x4


Record 2
KNa5Tl3: calculated powder X-ray diffraction pattern (copper Kα), based on a structure optimized by DFT (GGA-PBE).

Principal peaks in the range 15° ≤ 2θ ≤ 90°, sorted by position:
d/Å  I/Imax
4.972  24
4.022  100
3.420  19
2.871  60
2.818  37
2.336  24
2.199  33
2.072  17
1.812  22
1.469  16

Crystal structure
abc: 9.9438 9.9438 6.8391
angles: 90.00 90.00 120.00
Space group P6_3/mcm (No. 193)
Asymmetric unit:
K: 0.0000 0.0000 0.0000 x2
Na: 0.0000 0.3379 0.2500 x6
Na: 0.3333 0.6667 0.0000 x4
Tl: 0.0000 0.3455 0.7500 x6


Record 3
KNa10Tl3: calculated powder X-ray diffraction pattern (copper Kα), based on a structure optimized by DFT (GGA-PBE).

Principal peaks in the range 15° ≤ 2θ ≤ 90°, sorted by position:
d/Å  I/Imax
5.757  24
4.701  100
4.071  44
3.134  15
2.879  57
2.455  67
2.350  14
1.868  23
1.662  21
1.376  15

Crystal structure
abc: 16.2834 16.2834 16.2834
angles: 90.00 90.00 90.00
Space group Fm-3m (No. 225)
Asymmetric unit:
K: 0.2500 0.2500 0.2500 x8
Na: 0.0000 0.1698 0.1698 x48
Na: 0.1136 0.1136 0.3864 x32
Tl: 0.0000 0.0000 0.2674 x24


Record 4
K2NaW: calculated powder X-ray diffraction pattern (copper Kα), based on a structure optimized by DFT (GGA-PBE).

Principal peaks in the range 15° ≤ 2θ ≤ 90°, sorted by position:
d/Å  I/Imax
5.003  64
4.333  20
3.064  100
2.613  38
2.167  18
1.988  18
1.769  39
1.668  14
1.370  16
1.158  19

Crystal structure
abc: 8.6661 8.6661 8.6661
angles: 90.00 90.00 90.00
Space group Fm-3m (No. 225)
Asymmetric unit:
K: 0.2500 0.2500 0.2500 x8
Na: 0.0000 0.0000 0.0000 x4
W: 0.0000 0.0000 0.5000 x4


Record 5
KNa2Y: calculated powder X-ray diffraction pattern (copper Kα), based on a structure optimized by DFT (GGA-PBE).

Principal peaks in the range 15° ≤ 2θ ≤ 90°, sorted by position:
d/Å  I/Imax
3.557  61
3.145  35
3.120  100
3.024  45
2.715  28
2.536  49
2.192  39
2.036  17
1.821  25
1.621  34

Crystal structure
abc: 3.6414 3.6414 42.6783
angles: 90.00 90.00 120.00
Space group R-3m (No. 166, hexagonal axes)
Asymmetric unit:
K: 0.0000 0.0000 0.0000 x3
Na: 0.0000 0.0000 0.4195 x6
Y: 0.0000 0.0000 0.5000 x3


Record 6
KNb: calculated powder X-ray diffraction pattern (copper Kα), based on a structure optimized by DFT (GGA-PBE).

Principal peaks in the range 15° ≤ 2θ ≤ 90°, sorted by position:
d/Å  I/Imax
3.832  83
3.102  88
2.941  47
2.919  52
2.686  100
2.559  68
2.540  55
2.239  36
2.222  36
2.197  60

Crystal structure
abc: 15.6042 3.3921 8.7998
angles: 90.00 90.00 90.00
Space group Pmn2_1 (No. 31)
Asymmetric unit:
K: 0.0000 0.0185 0.0000 x2
K: 0.2242 0.9859 0.6705 x4
Nb: 0.0000 0.0116 0.5566 x2
Nb: 0.0794 0.5111 0.3719 x4


Record 7
K4Nb15O24: calculated powder X-ray diffraction pattern (copper Kα), based on a structure optimized by DFT (GGA-PBE).

Principal peaks in the range 15° ≤ 2θ ≤ 90°, sorted by position:
d/Å  I/Imax
4.137  45
2.969  81
2.953  53
2.777  100
2.412  66
2.108  54
2.091  55
2.069  53
1.476  31
1.470  32

Crystal structure
abc: 16.7251 8.2744 9.4164
angles: 90.00 116.44 90.00
Space group C2/m (No. 12)
Asymmetric unit:
K: 0.0000 0.0000 0.0000 x2
K: 0.0000 0.5000 0.0000 x2
K: 0.2467 0.0000 0.9955 x4
Nb: 0.0000 0.0000 0.5000 x2
Nb: 0.0678 0.2586 0.7707 x8
Nb: 0.1252 0.2572 0.4994 x8
Nb: 0.1875 0.2494 0.2505 x8
Nb: 0.2474 0.0000 0.5005 x4
O: 0.0605 0.2538 0.2467 x8
O: 0.0636 0.0000 0.7538 x4
O: 0.0663 0.5000 0.7647 x4
O: 0.1237 0.0000 0.5002 x4
O: 0.1251 0.2446 0.0005 x8
O: 0.1253 0.5000 0.4992 x4
O: 0.1856 0.0000 0.2490 x4
O: 0.1867 0.2545 0.7522 x8
O: 0.1883 0.5000 0.2466 x4


Record 8
K2Nb2O7: calculated powder X-ray diffraction pattern (copper Kα), based on a structure optimized by DFT (GGA-PBE).

Principal peaks in the range 15° ≤ 2θ ≤ 90°, sorted by position:
d/Å  I/Imax
3.223  100
2.923  69
2.459  11
2.300  13
1.956  52
1.858  13
1.799  19
1.568  14
1.461  19
1.230  12

Crystal structure
abc: 6.5567 7.4340 6.4557
angles: 90.00 90.00 90.00
Space group Cmmm (No. 65)
Asymmetric unit:
K: 0.2389 0.0000 0.0000 x4
Nb: 0.0000 0.2764 0.5000 x4
O: 0.0000 0.0000 0.5000 x2
O: 0.0000 0.5000 0.3118 x4
O: 0.2500 0.2500 0.3023 x8


> Which formula does entry 4 have?

K2NaW